The following is a calculated XRD peak list of ErNpS2N. It was derived from a crystal structure in Alexandria, relaxed with GGA-PBE, using copper Kα.
No peak broadening, texture or thermal motion is included.

Top 8 peaks for 2θ from 10° to 80°, in order of falling intensity:
26.87°, d = 3.318 Å, rel. 100; 33.39°, d = 2.684 Å, rel. 59; 42.84°, d = 2.111 Å, rel. 31; 55.81°, d = 1.647 Å, rel. 29; 35.33°, d = 2.540 Å, rel. 25; 26.06°, d = 3.419 Å, rel. 24; 47.94°, d = 1.898 Å, rel. 24; 12.95°, d = 6.838 Å, rel. 20

Cell and atoms:
Unit cell a=3.7953 b=3.7953 c=13.6756 alpha=90.00 beta=90.00 gamma=90.00
Fractional coordinates of all 10 atoms:
Er1 0.2500 0.2500 0.1194
Er2 0.7500 0.7500 0.8806
Np1 0.2500 0.2500 0.5864
Np2 0.7500 0.7500 0.4136
S1 0.2500 0.2500 0.3077
S2 0.2500 0.2500 0.9080
S3 0.7500 0.7500 0.0920
S4 0.7500 0.7500 0.6923
N1 0.2500 0.7500 0.5000
N2 0.7500 0.2500 0.5000